# 1
The following is a simulated powder XRD pattern of H2RuO. It was derived from DFT lattice parameters and positions (GGA-PBE), using Cu Kα.
No peak broadening, texture or thermal motion is included.

Most intense lines, 2θ = 15–90°, low angle first:
| Position (°2θ) | I (rel.) |
| --- | --- |
| 25.27 | 64 |
| 41.86 | 100 |
| 49.53 | 35 |
| 60.69 | 15 |
| 66.81 | 14 |
| 76.45 | 30 |
| 82.04 | 11 |

Cell and atoms:
a b c (Å): 4.316 4.316 4.316
angles (deg): 60.00 60.00 60.00
Sites, in units of the cell vectors:
1 H 0.000 0.000 0.000
2 H 0.000 0.000 0.500
3 H 0.000 0.500 0.000
4 H 0.500 0.000 0.000
5 Ru 0.375 0.375 0.375
6 Ru 0.625 0.625 0.625
7 O 0.125 0.125 0.125
8 O 0.875 0.875 0.875

=====

# 2
The following is a simulated powder XRD pattern of Er6GaCo2. It was derived from DFT lattice parameters and positions (GGA-PBE), using Cu Kα.
No peak broadening, texture or thermal motion is included.

Most intense lines, 2θ = 15–90°, low angle first:
| Position (°2θ) | I (rel.) |
| --- | --- |
| 26.70 | 26 |
| 29.05 | 27 |
| 30.79 | 31 |
| 32.87 | 100 |
| 35.16 | 41 |
| 35.35 | 56 |
| 35.85 | 47 |
| 39.37 | 29 |
| 41.68 | 24 |
| 61.62 | 28 |

Cell and atoms:
a b c (Å): 8.185 8.185 8.185
angles (deg): 111.98 109.65 106.82
Sites, in units of the cell vectors:
1 Er 0.042 0.239 0.802
2 Er 0.181 0.280 0.461
3 Er 0.181 0.720 0.901
4 Er 0.326 0.015 0.689
5 Er 0.326 0.638 0.311
6 Er 0.437 0.239 0.198
7 Er 0.563 0.761 0.802
8 Er 0.674 0.362 0.689
9 Er 0.674 0.985 0.311
10 Er 0.819 0.280 0.099
11 Er 0.819 0.720 0.539
12 Er 0.958 0.761 0.198
13 Ga 0.000 0.000 0.000
14 Ga 0.500 0.500 0.000
15 Co 0.116 0.616 0.500
16 Co 0.337 0.000 0.337
17 Co 0.663 0.000 0.663
18 Co 0.884 0.384 0.500